[1]
Diffraction record for LiNd2Tc2N6. The PXRD pattern is theoretical, not measured: it uses a DFT-relaxed cell (PBE, Alexandria) and λ = 1.5418 Å (Cu Kα).

Most intense lines, 2θ = 10–80°, low angle first:
2θ = 14.7°, d = 6.020 Å, I 20
2θ = 20.9°, d = 4.258 Å, I 30
2θ = 30.9°, d = 2.892 Å, I 100
2θ = 32.1°, d = 2.787 Å, I 90
2θ = 38.6°, d = 2.332 Å, I 18
2θ = 45.2°, d = 2.007 Å, I 43
2θ = 54.2°, d = 1.692 Å, I 21
2θ = 56.5°, d = 1.629 Å, I 38
2θ = 57.2°, d = 1.609 Å, I 17
2θ = 73.8°, d = 1.284 Å, I 15

Structural model:
Cell lengths 6.827, 6.827, 6.827 Å; angles 48.20, 48.20, 48.20 degrees
Sites, in units of the cell vectors:
Li 0.000 0.000 0.000
Nd 0.208 0.208 0.208
Nd 0.792 0.792 0.792
Tc 0.397 0.397 0.397
Tc 0.603 0.603 0.603
N 0.224 0.741 0.741
N 0.259 0.259 0.776
N 0.259 0.776 0.259
N 0.741 0.224 0.741
N 0.741 0.741 0.224
N 0.776 0.259 0.259

---

[2]
Diffraction record for CeZn9Ir2. The PXRD pattern is theoretical, not measured: it uses a DFT-relaxed cell (PBE, Alexandria) and λ = 1.5418 Å (Cu Kα).

Most intense lines, 2θ = 10–80°, low angle first:
2θ = 11.7°, d = 7.576 Å, I 22
2θ = 20.3°, d = 4.374 Å, I 54
2θ = 36.6°, d = 2.455 Å, I 77
2θ = 38.5°, d = 2.335 Å, I 28
2θ = 41.3°, d = 2.187 Å, I 100
2θ = 44.0°, d = 2.060 Å, I 27
2θ = 47.3°, d = 1.923 Å, I 43
2θ = 51.9°, d = 1.760 Å, I 13
2θ = 64.5°, d = 1.444 Å, I 26
2θ = 77.8°, d = 1.228 Å, I 30

Structural model:
Cell lengths 8.748, 8.748, 2.966 Å; angles 90.00, 90.00, 120.00 degrees
Sites, in units of the cell vectors:
Ce 0.000 0.000 0.000
Zn 0.000 0.500 0.000
Zn 0.187 0.374 0.500
Zn 0.187 0.813 0.500
Zn 0.374 0.187 0.500
Zn 0.500 0.000 0.000
Zn 0.500 0.500 0.000
Zn 0.626 0.813 0.500
Zn 0.813 0.187 0.500
Zn 0.813 0.626 0.500
Ir 0.333 0.667 0.000
Ir 0.667 0.333 0.000